Na15Tl: computed X-ray powder pattern (Cu Kα, 1.54184 Å), based on DFT lattice parameters and positions (GGA-PBE).
No peak broadening, texture or thermal motion is included.

Top 10 peaks for 10 to 90 degrees two-theta, in order of rising 2θ:
| two_theta | I/Imax |
| --- | --- |
| 13.96 | 45 |
| 15.77 | 67 |
| 20.27 | 34 |
| 25.40 | 20 |
| 28.13 | 29 |
| 29.50 | 26 |
| 31.84 | 100 |
| 41.21 | 20 |
| 53.81 | 27 |
| 58.93 | 20 |

Atomic structure:
```
data_Na15Tl
_symmetry_space_group_name_H-M 'P -6 m 2'
_symmetry_Int_Tables_number 187
_symmetry_space_group_name_Hall 'P -6 2'
_cell_length_a 7.3267
_cell_length_b 7.3267
_cell_length_c 12.1132
_cell_angle_alpha 90.00
_cell_angle_beta 90.00
_cell_angle_gamma 120.00
loop_
_atom_site_label
_atom_site_type_symbol
_atom_site_fract_x
_atom_site_fract_y
_atom_site_fract_z
Na1 Na 0.0000 0.0000 0.0000
Na2 Na 0.0032 0.5016 0.5000
Na3 Na 0.3230 0.1615 0.2597
Na4 Na 0.3333 0.6667 0.2436
Na5 Na 0.5018 0.0035 0.0000
Tl1 Tl 0.0000 0.0000 0.5000
```